[1]
Computed powder XRD pattern
Compound: FeNiPt2
Radiation: copper Kα
Structure: a cell relaxed with GGA-PBE
Lines closer than 0.1° are merged.

The 8 most intense peaks (2θ from 10° to 90°), sorted by position:
hkl 0 0 2, 24.36°, 3.654 Å, I 26; hkl 1 0 0, 33.33°, 2.688 Å, I 24; hkl 1 0 2, 41.71°, 2.165 Å, I 100; hkl 1 1 0, 47.85°, 1.901 Å, I 34; hkl 0 0 4, 49.92°, 1.827 Å, I 15; hkl 1 1 2, 54.41°, 1.686 Å, I 13; hkl 1 1 4, 71.64°, 1.317 Å, I 20; hkl 2 1 2, 84.91°, 1.142 Å, I 26

Structure:
Unit cell a=2.6884 b=2.6884 c=7.3076 alpha=90.00 beta=90.00 gamma=90.00
Space group P4/mmm (No. 123)
Asymmetric unit:
Fe 0.0000 0.0000 0.0000
Ni 0.0000 0.0000 0.5000
Pt 0.5000 0.5000 0.2459



[2]
Computed powder XRD pattern
Compound: Sr3AlN3
Radiation: copper Kα
Structure: a cell relaxed with GGA-PBE
Lines closer than 0.1° are merged.

The 8 most intense peaks (2θ from 10° to 90°), sorted by position:
hkl 1 1 0, 23.22°, 3.831 Å, I 30; hkl 1 1 1, 28.58°, 3.124 Å, I 100; hkl 2 0 1, 31.66°, 2.826 Å, I 41; hkl 0 0 2, 33.21°, 2.698 Å, I 45; hkl 1 2 0, 35.81°, 2.508 Å, I 45; hkl 3 0 0, 40.80°, 2.212 Å, I 24; hkl 1 2 2, 49.60°, 1.838 Å, I 48; hkl 3 0 2, 53.58°, 1.710 Å, I 21

Structure:
Unit cell a=7.6614 b=7.6614 c=5.3959 alpha=90.00 beta=90.00 gamma=120.00
Space group P6_3/m (No. 176)
Asymmetric unit:
Sr 0.0722 0.3594 0.2500
Al 0.3333 0.6667 0.7500
N 0.1061 0.4105 0.7500



[3]
Computed powder XRD pattern
Compound: Te4Mo3WSe2S2
Radiation: copper Kα
Structure: a cell relaxed with GGA-PBE
Lines closer than 0.1° are merged.

The 8 most intense peaks (2θ from 10° to 90°), sorted by position:
hkl 0 0 5, 11.41°, 7.753 Å, I 99; hkl 1 0 0, 30.38°, 2.942 Å, I 58; hkl 1 0 7, 34.50°, 2.600 Å, I 18; hkl 1 0 8, 35.68°, 2.516 Å, I 100; hkl 0 1 9, 36.98°, 2.431 Å, I 25; hkl 1 0 13, 43.18°, 2.095 Å, I 58; hkl 1 0 14, 44.94°, 2.017 Å, I 20; hkl 1 1 0, 53.95°, 1.700 Å, I 43

Structure:
Unit cell a=3.4002 b=3.4002 c=38.7665 alpha=90.00 beta=90.00 gamma=120.00
Space group P3m1 (No. 156)
Asymmetric unit:
Te 0.0000 0.0000 0.0000
Te 0.0000 0.0000 0.0965
Te 0.3333 0.6667 0.8117
Te 0.3333 0.6667 0.9089
Mo 0.0000 0.0000 0.4846
Mo 0.3333 0.6667 0.0483
Mo 0.3333 0.6667 0.6725
W 0.0000 0.0000 0.8603
Se 0.0000 0.0000 0.6299
Se 0.0000 0.0000 0.7150
S 0.3333 0.6667 0.4458
S 0.3333 0.6667 0.5234